Diffraction record for Hf3Zn2Pd4. The powder XRD pattern is theoretical, not measured: it uses a cell relaxed with GGA-PBE and Cu Kα X-rays.

The 10 most intense peaks (2θ from 10° to 80°), by angle:
two_theta	I (rel.)
22.7	20
36.7	67
37.8	62
37.9	62
40.7	100
46.3	34
46.4	35
60.4	17
68.8	20
69.5	20

Cell and atoms:
a = 13.0661 Å, b = 9.8048 Å, c = 4.8887 Å
α = 90.00°, β = 100.01°, γ = 90.00°
Space group C2/c (No. 15)
Symmetry-distinct sites (fractional):
Hf (0.0000, 0.1349, 0.2500) x4
Hf (0.1671, 0.3800, 0.0840) x8
Zn (0.1079, 0.1256, 0.8044) x8
Pd (0.0574, 0.3741, 0.5325) x8
Pd (0.2142, 0.1251, 0.3611) x8

---

Diffraction record for Hf2ZnPd3. The powder XRD pattern is theoretical, not measured: it uses a cell relaxed with GGA-PBE and Cu Kα X-rays.

The 10 most intense peaks (2θ from 10° to 80°), by angle:
two_theta	I (rel.)
33.4	19
38.1	77
38.2	25
38.6	66
39.2	100
39.8	16
42.2	24
58.5	22
69.5	15
70.3	18

Cell and atoms:
a = 4.6613 Å, b = 4.7500 Å, c = 10.8095 Å
α = 95.62°, β = 90.05°, γ = 119.35°
Space group P-1 (No. 2)
Symmetry-distinct sites (fractional):
Hf (0.0000, 0.0000, 0.0000) x1
Hf (0.0000, 0.0000, 0.5000) x1
Hf (0.2853, 0.5722, 0.3051) x2
Zn (0.3925, 0.7830, 0.8142) x2
Pd (0.0719, 0.1418, 0.7589) x2
Pd (0.3296, 0.6589, 0.0544) x2
Pd (0.3356, 0.6709, 0.5629) x2

---

Diffraction record for Hf6Zn5Pd. The powder XRD pattern is theoretical, not measured: it uses a cell relaxed with GGA-PBE and Cu Kα X-rays.

The 10 most intense peaks (2θ from 10° to 80°), by angle:
two_theta	I (rel.)
26.8	19
27.2	9
38.2	26
38.3	25
38.6	100
55.2	18
56.1	8
69.3	18
69.5	17
70.0	17

Cell and atoms:
a = 4.6954 Å, b = 6.5548 Å, c = 14.1297 Å
α = 90.00°, β = 90.00°, γ = 90.00°
Space group Immm (No. 71)
Symmetry-distinct sites (fractional):
Hf (0.0000, 0.2480, 0.0000) x4
Hf (0.0000, 0.2510, 0.3328) x8
Zn (0.0000, 0.0000, 0.1673) x4
Zn (0.0000, 0.5000, 0.1669) x4
Zn (0.0000, 0.5000, 0.5000) x2
Pd (0.0000, 0.0000, 0.5000) x2